1.
# Sm2ZnPdO6
Simulated XRD peak list, λ = 1.5418 Å (Cu Kα). Input: the PBE geometry in Alexandria.
No peak broadening, texture or thermal motion is included.

Principal peaks in the range 2θ from 5° to 70°, by angle:
Position (°2θ)	Rel. int.
25.16	18
30.77	19
32.17	100
32.90	37
45.66	17
51.42	15
58.22	17
58.32	16

Structure:
```
data_Sm2ZnPdO6
_symmetry_space_group_name_H-M 'P 1 21/c 1'
_symmetry_Int_Tables_number 14
_symmetry_space_group_name_Hall '-P 2ybc'
_cell_length_a 5.4451
_cell_length_b 5.8117
_cell_length_c 9.4982
_cell_angle_alpha 90.00
_cell_angle_beta 124.87
_cell_angle_gamma 90.00
loop_
_atom_site_label
_atom_site_fract_x
_atom_site_fract_y
_atom_site_fract_z
Sm1 0.2297 0.0733 0.2508
Zn1 0.5000 0.0000 0.0000
Pd1 0.0000 0.0000 0.5000
O1 0.1284 0.2016 0.9421
O2 0.2502 0.6926 0.9449
O3 0.3599 0.0387 0.7478
```

=====

2.
# K2V3Se5
Simulated XRD peak list, λ = 1.5418 Å (Cu Kα). Input: the PBE geometry in Alexandria.
No peak broadening, texture or thermal motion is included.

Principal peaks in the range 2θ from 5° to 70°, by angle:
Position (°2θ)	Rel. int.
12.73	100
13.72	48
28.11	74
28.52	50
31.96	50
34.66	46
42.60	53
43.49	58

Structure:
```
data_K2V3Se5
_symmetry_space_group_name_H-M 'C 1 2/m 1'
_symmetry_Int_Tables_number 12
_symmetry_space_group_name_Hall '-C 2y'
_cell_length_a 14.7885
_cell_length_b 4.2447
_cell_length_c 8.5318
_cell_angle_alpha 90.00
_cell_angle_beta 109.93
_cell_angle_gamma 90.00
loop_
_atom_site_label
_atom_site_fract_x
_atom_site_fract_y
_atom_site_fract_z
K1 0.1765 0.0000 0.2139
V1 0.0000 0.0000 0.5000
V2 0.0500 0.5000 0.7610
Se1 0.0000 0.5000 0.0000
Se2 0.1024 0.5000 0.4656
Se3 0.1354 0.0000 0.7942
```

=====

3.
# Pr5ZnSn2
Simulated XRD peak list, λ = 1.5418 Å (Cu Kα). Input: the PBE geometry in Alexandria.
No peak broadening, texture or thermal motion is included.

Principal peaks in the range 2θ from 5° to 70°, by angle:
Position (°2θ)	Rel. int.
27.38	26
30.43	92
30.69	68
31.81	96
35.05	100
43.76	52
48.47	33
57.10	25

Structure:
```
data_Pr5ZnSn2
_symmetry_space_group_name_H-M 'C m c m'
_symmetry_Int_Tables_number 63
_symmetry_space_group_name_Hall '-C 2c 2'
_cell_length_a 5.8752
_cell_length_b 9.7769
_cell_length_c 17.4793
_cell_angle_alpha 90.00
_cell_angle_beta 90.00
_cell_angle_gamma 90.00
loop_
_atom_site_label
_atom_site_fract_x
_atom_site_fract_y
_atom_site_fract_z
Pr1 0.0000 0.0809 0.0897
Pr2 0.0000 0.2298 0.7500
Pr3 0.0000 0.4100 0.1052
Zn1 0.0000 0.1691 0.2500
Sn1 0.0000 0.2582 0.5688
```

=====

4.
# CsNiHg2Bi
Simulated XRD peak list, λ = 1.5418 Å (Cu Kα). Input: the PBE geometry in Alexandria.
No peak broadening, texture or thermal motion is included.

Principal peaks in the range 2θ from 5° to 70°, by angle:
Position (°2θ)	Rel. int.
29.05	100
33.35	50
34.30	23
47.88	18
48.59	35
56.98	31
58.24	15
60.21	19

Structure:
```
data_CsNiHg2Bi
_symmetry_space_group_name_H-M 'P 4/m m m'
_symmetry_Int_Tables_number 123
_symmetry_space_group_name_Hall '-P 4 2'
_cell_length_a 5.3736
_cell_length_b 5.3736
_cell_length_c 5.2290
_cell_angle_alpha 90.00
_cell_angle_beta 90.00
_cell_angle_gamma 90.00
loop_
_atom_site_label
_atom_site_fract_x
_atom_site_fract_y
_atom_site_fract_z
Cs1 0.0000 0.0000 0.0000
Ni1 0.5000 0.5000 0.5000
Hg1 0.0000 0.5000 0.5000
Bi1 0.5000 0.5000 0.0000
```

=====

5.
# Pm2PrHo6
Simulated XRD peak list, λ = 1.5418 Å (Cu Kα). Input: the PBE geometry in Alexandria.
No peak broadening, texture or thermal motion is included.

Principal peaks in the range 2θ from 5° to 70°, by angle:
Position (°2θ)	Rel. int.
28.18	100
29.37	14
33.69	55
36.63	60
43.65	13
49.16	30
57.62	26
60.89	22

Structure:
```
data_Pm2PrHo6
_symmetry_space_group_name_H-M 'R 3 m'
_symmetry_Int_Tables_number 160
_symmetry_space_group_name_Hall 'R 3 -2"'
_cell_length_a 7.4139
_cell_length_b 7.4139
_cell_length_c 19.0118
_cell_angle_alpha 90.00
_cell_angle_beta 90.00
_cell_angle_gamma 120.00
loop_
_atom_site_label
_atom_site_fract_x
_atom_site_fract_y
_atom_site_fract_z
Pm1 0.0000 0.0000 0.0000
Pm2 0.0000 0.0000 0.1754
Pr1 0.0000 0.0000 0.7364
Ho1 0.0169 0.5085 0.1882
Ho2 0.0451 0.5225 0.9909
```

=====

6.
# Sm5HoTm3
Simulated XRD peak list, λ = 1.5418 Å (Cu Kα). Input: the PBE geometry in Alexandria.
No peak broadening, texture or thermal motion is included.

Principal peaks in the range 2θ from 5° to 70°, by angle:
Position (°2θ)	Rel. int.
29.14	11
31.02	40
31.14	100
31.47	58
33.06	13
33.21	12
35.67	20
38.69	11

Structure:
```
data_Sm5HoTm3
_symmetry_space_group_name_H-M 'C 1 2/c 1'
_symmetry_Int_Tables_number 15
_symmetry_space_group_name_Hall '-C 2yc'
_cell_length_a 16.3332
_cell_length_b 6.6913
_cell_length_c 11.4908
_cell_angle_alpha 90.00
_cell_angle_beta 110.29
_cell_angle_gamma 90.00
loop_
_atom_site_label
_atom_site_fract_x
_atom_site_fract_y
_atom_site_fract_z
Sm1 0.0000 0.1893 0.2500
Sm2 0.1113 0.0035 0.5520
Sm3 0.1709 0.4153 0.3433
Ho1 0.0000 0.2592 0.7500
Tm1 0.0000 0.5000 0.0000
Tm2 0.2386 0.0951 0.8735
```